No. 1
The following is a calculated X-ray diffraction stick pattern of AgSbC2N2Cl2F6. It was derived from a crystal structure in the Materials Project, relaxed with GGA-PBE, using a wavelength of 1.5418 Å.

Main lines, by intensity (10 to 90 degrees two-theta):
(0 0 2), 2θ = 19.2°, d 4.621, intensity 1000
(1 2 0), 2θ = 24.0°, d 3.710, intensity 753
(1 0 0), 2θ = 13.1°, d 6.741, intensity 664
(1 2 -2), 2θ = 26.3°, d 3.389, intensity 549
(1 0 -2), 2θ = 16.9°, d 5.242, intensity 386
(2 0 -2), 2θ = 23.5°, d 3.780, intensity 338
(0 2 0), 2θ = 20.0°, d 4.443, intensity 219
(1 2 2), 2θ = 35.0°, d 2.566, intensity 200

Crystal structure
Unit cell a=7.8110 b=8.8858 c=10.7102 alpha=90.00 beta=120.35 gamma=90.00
Sites, in units of the cell vectors:
Ag 0.0000 0.0000 0.0000
Ag 0.0000 0.0000 0.5000
Sb 0.0000 0.5000 0.0000
Sb 0.0000 0.5000 0.5000
C 0.3908 0.1696 0.0400
C 0.3908 0.8304 0.5400
C 0.6092 0.1696 0.4600
C 0.6092 0.8304 0.9600
N 0.2685 0.0929 0.0385
N 0.2685 0.9071 0.5385
N 0.7315 0.0929 0.4615
N 0.7315 0.9071 0.9615
Cl 0.4370 0.2693 0.4568
Cl 0.4370 0.7307 0.9568
Cl 0.5629 0.2693 0.0432
Cl 0.5629 0.7307 0.5432
F 0.1009 0.2973 0.5138
F 0.1009 0.7027 0.0138
F 0.1416 0.4388 0.9057
F 0.1416 0.5612 0.4057
F 0.2307 0.4501 0.1806
F 0.2307 0.5499 0.6806
F 0.7693 0.4501 0.3194
F 0.7693 0.5499 0.8194
F 0.8584 0.4388 0.5943
F 0.8584 0.5612 0.0943
F 0.8991 0.2973 0.9862
F 0.8991 0.7027 0.4862



No. 2
The following is a calculated X-ray diffraction stick pattern of AgSbC2N2Cl2F6. It was derived from a crystal structure in the Materials Project, relaxed with GGA-PBE, using a wavelength of 1.5418 Å.

Main lines, by intensity (10 to 90 degrees two-theta):
(1 2 0), 2θ = 23.1°, d 3.850, intensity 1000
(1 0 0), 2θ = 13.0°, d 6.786, intensity 810
(0 0 2), 2θ = 21.7°, d 4.089, intensity 670
(1 0 -2), 2θ = 19.0°, d 4.670, intensity 650
(1 2 -2), 2θ = 27.0°, d 3.303, intensity 549
(2 0 -2), 2θ = 24.5°, d 3.640, intensity 333
(2 0 0), 2θ = 26.3°, d 3.393, intensity 253
(2 0 -4), 2θ = 38.6°, d 2.335, intensity 245

Crystal structure
Unit cell a=7.8050 b=9.3490 c=9.4059 alpha=90.00 beta=119.61 gamma=90.00
Sites, in units of the cell vectors:
Ag 0.0000 0.0000 0.0000
Ag 0.0000 0.5000 0.5000
Sb 0.0000 0.0000 0.5000
Sb 0.0000 0.5000 0.0000
C 0.3902 0.1665 0.0524
C 0.3902 0.3335 0.5524
C 0.6098 0.6665 0.4476
C 0.6098 0.8335 0.9476
N 0.2661 0.0960 0.0507
N 0.2661 0.4040 0.5507
N 0.7339 0.5960 0.4493
N 0.7339 0.9040 0.9493
Cl 0.4390 0.7378 0.9465
Cl 0.4390 0.7622 0.4465
Cl 0.5610 0.2378 0.5535
Cl 0.5610 0.2622 0.0535
F 0.0832 0.0459 0.3440
F 0.0832 0.4541 0.8440
F 0.0906 0.6935 0.0105
F 0.0906 0.8065 0.5105
F 0.2546 0.0515 0.6775
F 0.2546 0.4485 0.1775
F 0.7454 0.5515 0.8225
F 0.7454 0.9485 0.3225
F 0.9094 0.1935 0.4895
F 0.9094 0.3065 0.9895
F 0.9168 0.5459 0.1560
F 0.9168 0.9541 0.6560